1.
The following is a calculated powder diffractogram of TiHg3O3. It was derived from DFT lattice parameters and positions (PBE), using Cu Ka.
Neutral-atom scattering factors, no anomalous dispersion.

Cell and atoms:
Unit cell a=7.8889 b=19.8342 c=6.2593 alpha=90.00 beta=111.72 gamma=90.00
Atoms (fractional coordinates):
Ti 0.0000 0.0000 0.0000
Ti 0.5000 0.5000 0.0000
Hg 0.1726 0.1122 0.9572
Hg 0.1726 0.8878 0.9572
Hg 0.3453 0.5000 0.5320
Hg 0.6726 0.3878 0.9572
Hg 0.6726 0.6122 0.9572
Hg 0.8453 0.0000 0.5320
O 0.2995 0.1840 0.8179
O 0.2995 0.8160 0.8179
O 0.3886 0.5000 0.1806
O 0.7995 0.3160 0.8179
O 0.7995 0.6840 0.8179
O 0.8886 0.0000 0.1806

Principal peaks in the range 10 to 90 degrees two-theta, low angle first:
- 2θ = 12.88°, I = 85, (1 1 0)
- 2θ = 16.19°, I = 100, (1 1 -1)
- 2θ = 18.07°, I = 59, (1 3 0)
- 2θ = 23.21°, I = 33, (1 1 1)
- 2θ = 23.58°, I = 51, (0 4 1)
- 2θ = 25.53°, I = 36, (1 5 0)


2.
The following is a calculated powder diffractogram of TiHgO3. It was derived from DFT lattice parameters and positions (PBE), using Cu Ka.
Neutral-atom scattering factors, no anomalous dispersion.

Cell and atoms:
Unit cell a=3.9213 b=3.9213 c=3.9213 alpha=90.00 beta=90.00 gamma=90.00
Atoms (fractional coordinates):
Ti 0.0000 0.0000 0.0000
Hg 0.5000 0.5000 0.5000
O 0.0000 0.0000 0.5000
O 0.0000 0.5000 0.0000
O 0.5000 0.0000 0.0000

Principal peaks in the range 10 to 90 degrees two-theta, low angle first:
- 2θ = 22.68°, I = 39, (1 0 0)
- 2θ = 32.29°, I = 100, (1 1 0)
- 2θ = 39.82°, I = 29, (1 1 1)
- 2θ = 46.31°, I = 30, (2 0 0)
- 2θ = 52.16°, I = 20, (2 1 0)
- 2θ = 57.58°, I = 39, (2 1 1)


3.
The following is a calculated powder diffractogram of TlHgO3. It was derived from DFT lattice parameters and positions (PBE), using Cu Ka.
Neutral-atom scattering factors, no anomalous dispersion.

Cell and atoms:
Unit cell a=4.2610 b=4.2610 c=4.2610 alpha=90.00 beta=90.00 gamma=90.00
Atoms (fractional coordinates):
Tl 0.0000 0.0000 0.0000
Hg 0.5000 0.5000 0.5000
O 0.0000 0.0000 0.5000
O 0.0000 0.5000 0.0000
O 0.5000 0.0000 0.0000

Principal peaks in the range 10 to 90 degrees two-theta, low angle first:
- 2θ = 29.65°, I = 100, (1 1 0)
- 2θ = 42.43°, I = 26, (2 0 0)
- 2θ = 52.61°, I = 42, (2 1 1)
- 2θ = 61.56°, I = 17, (2 2 0)
- 2θ = 69.80°, I = 19, (3 1 0)
- 2θ = 85.21°, I = 23, (3 2 1)


4.
The following is a calculated powder diffractogram of Y2Hg2O5. It was derived from DFT lattice parameters and positions (PBE), using Cu Ka.
Neutral-atom scattering factors, no anomalous dispersion.

Cell and atoms:
Unit cell a=11.8629 b=3.5750 c=13.4022 alpha=90.00 beta=90.00 gamma=90.00
Atoms (fractional coordinates):
Y 0.0314 0.2359 0.0000
Y 0.2189 0.2396 0.6676
Y 0.2811 0.7396 0.1676
Y 0.4686 0.7359 0.5000
Y 0.5314 0.2641 0.0000
Y 0.7189 0.2604 0.6676
Y 0.7811 0.7604 0.1676
Y 0.9686 0.7641 0.5000
Hg 0.0035 0.3000 0.2689
Hg 0.2461 0.1996 0.3984
Hg 0.2539 0.6996 0.8984
Hg 0.4965 0.8000 0.7689
Hg 0.5035 0.2000 0.2689
Hg 0.7461 0.3004 0.3984
Hg 0.7539 0.8004 0.8984
Hg 0.9965 0.7000 0.7689
O 0.0628 0.2609 0.4368
O 0.1000 0.7463 0.6237
O 0.1253 0.2377 0.8338
O 0.1500 0.7380 0.0436
O 0.1869 0.2418 0.2302
O 0.3131 0.7418 0.7302
O 0.3500 0.2380 0.5436
O 0.3747 0.7377 0.3338
O 0.4000 0.2463 0.1237
O 0.4372 0.7609 0.9368
O 0.5628 0.2391 0.4368
O 0.6000 0.7537 0.6237
O 0.6253 0.2623 0.8338
O 0.6500 0.7620 0.0436
O 0.6869 0.2582 0.2302
O 0.8131 0.7582 0.7302
O 0.8500 0.2620 0.5436
O 0.8747 0.7623 0.3338
O 0.9000 0.2537 0.1237
O 0.9372 0.7391 0.9368

Principal peaks in the range 10 to 90 degrees two-theta, low angle first:
- 2θ = 13.21°, I = 39, (0 0 2)
- 2θ = 25.79°, I = 43, (0 1 1)
- 2θ = 29.93°, I = 66, (2 1 1)
- 2θ = 30.13°, I = 44, (4 0 0)
- 2θ = 30.65°, I = 100, (2 0 4)
- 2θ = 35.55°, I = 54, (2 1 3)


5.
The following is a calculated powder diffractogram of Y2Hg2O5. It was derived from DFT lattice parameters and positions (PBE), using Cu Ka.
Neutral-atom scattering factors, no anomalous dispersion.

Cell and atoms:
Unit cell a=3.5537 b=7.6749 c=11.6341 alpha=83.75 beta=87.47 gamma=84.60
Atoms (fractional coordinates):
Y 0.1654 0.3200 0.3285
Y 0.2718 0.8815 0.8892
Y 0.7282 0.1185 0.1108
Y 0.8346 0.6800 0.6715
Hg 0.1656 0.3216 0.8291
Hg 0.2870 0.8672 0.3894
Hg 0.7130 0.1328 0.6106
Hg 0.8344 0.6784 0.1709
O 0.0057 0.3954 0.6635
O 0.2324 0.0348 0.2313
O 0.2405 0.1612 0.9838
O 0.3301 0.6479 0.8015
O 0.3305 0.7852 0.5635
O 0.6695 0.2148 0.4365
O 0.6699 0.3521 0.1985
O 0.7595 0.8388 0.0162
O 0.7676 0.9652 0.7687
O 0.9943 0.6046 0.3365

Principal peaks in the range 10 to 90 degrees two-theta, low angle first:
- 2θ = 14.61°, I = 50, (0 1 -1)
- 2θ = 26.69°, I = 56, (0 2 2)
- 2θ = 29.46°, I = 79, (0 2 -2)
- 2θ = 29.96°, I = 50, (1 1 2)
- 2θ = 30.08°, I = 100, (1 0 -2)
- 2θ = 36.23°, I = 49, (1 -2 0)


6.
The following is a calculated powder diffractogram of HgOs. It was derived from DFT lattice parameters and positions (PBE), using Cu Ka.
Neutral-atom scattering factors, no anomalous dispersion.

Cell and atoms:
Unit cell a=2.8927 b=2.8927 c=4.7797 alpha=90.00 beta=90.00 gamma=120.00
Atoms (fractional coordinates):
Hg 0.0000 0.0000 0.0000
Os 0.6667 0.3333 0.5000

Principal peaks in the range 10 to 90 degrees two-theta, low angle first:
- 2θ = 35.85°, I = 24, (1 0 0)
- 2θ = 37.64°, I = 27, (0 0 2)
- 2θ = 40.66°, I = 100, (1 0 1)
- 2θ = 64.42°, I = 17, (1 1 0)
- 2θ = 69.98°, I = 21, (1 0 3)
- 2θ = 77.07°, I = 21, (1 1 2)


7.
The following is a calculated powder diffractogram of Tm2HgOs. It was derived from DFT lattice parameters and positions (PBE), using Cu Ka.
Neutral-atom scattering factors, no anomalous dispersion.

Cell and atoms:
Unit cell a=7.0050 b=7.0050 c=7.0050 alpha=90.00 beta=90.00 gamma=90.00
Atoms (fractional coordinates):
Tm 0.2500 0.2500 0.2500
Tm 0.2500 0.2500 0.7500
Tm 0.2500 0.7500 0.2500
Tm 0.2500 0.7500 0.7500
Tm 0.7500 0.2500 0.2500
Tm 0.7500 0.2500 0.7500
Tm 0.7500 0.7500 0.2500
Tm 0.7500 0.7500 0.7500
Hg 0.0000 0.0000 0.0000
Hg 0.0000 0.5000 0.5000
Hg 0.5000 0.0000 0.5000
Hg 0.5000 0.5000 0.0000
Os 0.0000 0.0000 0.5000
Os 0.0000 0.5000 0.0000
Os 0.5000 0.0000 0.0000
Os 0.5000 0.5000 0.5000

Principal peaks in the range 10 to 90 degrees two-theta, low angle first:
- 2θ = 25.43°, I = 1, (2 0 0)
- 2θ = 36.27°, I = 100, (2 2 0)
- 2θ = 52.24°, I = 18, (4 0 0)
- 2θ = 65.25°, I = 37, (4 2 2)
- 2θ = 77.01°, I = 12, (4 4 0)
- 2θ = 88.22°, I = 17, (6 2 0)


8.
The following is a calculated powder diffractogram of Hg3P. It was derived from DFT lattice parameters and positions (PBE), using Cu Ka.
Neutral-atom scattering factors, no anomalous dispersion.

Cell and atoms:
Unit cell a=5.9814 b=5.9814 c=6.0539 alpha=90.00 beta=90.00 gamma=120.00
Atoms (fractional coordinates):
Hg 0.1685 0.3370 0.2500
Hg 0.1685 0.8315 0.2500
Hg 0.3370 0.1685 0.7500
Hg 0.6630 0.8315 0.2500
Hg 0.8315 0.1685 0.7500
Hg 0.8315 0.6630 0.7500
P 0.3333 0.6667 0.7500
P 0.6667 0.3333 0.2500

Principal peaks in the range 10 to 90 degrees two-theta, low angle first:
- 2θ = 22.59°, I = 27, (1 0 1)
- 2θ = 29.51°, I = 43, (0 0 2)
- 2θ = 34.63°, I = 21, (2 0 0)
- 2θ = 37.78°, I = 100, (2 0 1)
- 2θ = 57.93°, I = 29, (2 0 3)
- 2θ = 70.20°, I = 22, (2 2 2)